Starting from a GGA-PBE-relaxed structure, the powder diffractogram of HfZr3Ga2 was calculated for CuKα.

Most intense lines, 10 to 90 degrees two-theta, in order of rising 2θ:
hkl 2 0 0, 2θ 33.08, d = 2.708 Å, rel. 19; hkl 1 1 3, 2θ 34.05, d = 2.633 Å, rel. 100; hkl 1 3 1, 2θ 34.30, d = 2.614 Å, rel. 83; hkl 0 4 0, 2θ 38.20, d = 2.356 Å, rel. 27; hkl 2 2 0, 2θ 38.33, d = 2.348 Å, rel. 33; hkl 0 2 4, 2θ 42.49, d = 2.128 Å, rel. 34; hkl 0 4 2, 2θ 42.80, d = 2.113 Å, rel. 30; hkl 2 2 2, 2θ 42.93, d = 2.107 Å, rel. 39; hkl 3 1 3, 2θ 59.71, d = 1.549 Å, rel. 19; hkl 2 4 4, 2θ 65.49, d = 1.425 Å, rel. 25

Atomic structure:
Unit cell a=5.4167 b=9.4273 c=9.5375 alpha=90.00 beta=90.00 gamma=90.00
Space group Fmm2 (No. 42)
Inequivalent atoms, fractional coordinates:
Hf (0.0000, 0.0000, 0.0000) x4
Zr (0.0000, 0.0000, 0.6906) x4
Zr (0.0000, 0.1534, 0.3454) x8
Ga (0.2500, 0.2500, 0.0953) x8

***

Starting from a GGA-PBE-relaxed structure, the powder diffractogram of LiCuTe2OsSe was calculated for CuKα.

Most intense lines, 10 to 90 degrees two-theta, in order of rising 2θ:
hkl 0 2 0, 2θ 13.41, d = 6.601 Å, rel. 78; hkl 0 0 2, 2θ 18.26, d = 4.858 Å, rel. 46; hkl 1 3 0, 2θ 30.89, d = 2.895 Å, rel. 50; hkl 1 3 1, 2θ 32.26, d = 2.775 Å, rel. 16; hkl 1 3 2, 2θ 36.12, d = 2.487 Å, rel. 100; hkl 0 0 4, 2θ 37.00, d = 2.430 Å, rel. 33; hkl 0 6 2, 2θ 45.24, d = 2.004 Å, rel. 20; hkl 1 5 2, 2θ 45.68, d = 1.986 Å, rel. 32; hkl 2 0 0, 2θ 47.29, d = 1.922 Å, rel. 21; hkl 1 3 4, 2θ 48.93, d = 1.861 Å, rel. 20

Atomic structure:
Unit cell a=3.8444 b=13.2013 c=9.7163 alpha=90.00 beta=90.00 gamma=90.00
Space group Cmcm (No. 63)
Inequivalent atoms, fractional coordinates:
Li (0.0000, 0.2455, 0.2500) x4
Cu (0.0000, 0.0314, 0.7500) x4
Te (0.0000, 0.1418, 0.5358) x8
Os (0.0000, 0.5000, 0.0000) x4
Se (0.0000, 0.4200, 0.7500) x4

***

Starting from a GGA-PBE-relaxed structure, the powder diffractogram of Pr2NiAgGe2 was calculated for CuKα.

Most intense lines, 10 to 90 degrees two-theta, in order of rising 2θ:
hkl 1 0 0, 2θ 23.63, d = 3.764 Å, rel. 9; hkl 1 0 2, 2θ 32.28, d = 2.774 Å, rel. 100; hkl 1 1 0, 2θ 41.55, d = 2.173 Å, rel. 47; hkl 0 0 4, 2θ 44.15, d = 2.051 Å, rel. 12; hkl 2 0 2, 2θ 53.57, d = 1.711 Å, rel. 23; hkl 1 1 4, 2θ 62.24, d = 1.492 Å, rel. 26; hkl 2 1 2, 2θ 69.99, d = 1.344 Å, rel. 21; hkl 1 0 6, 2θ 73.71, d = 1.285 Å, rel. 7; hkl 3 0 0, 2θ 75.81, d = 1.255 Å, rel. 8; hkl 2 0 6, 2θ 88.35, d = 1.106 Å, rel. 5

Atomic structure:
Unit cell a=4.3468 b=4.3468 c=8.2047 alpha=90.00 beta=90.00 gamma=120.00
Space group P-6m2 (No. 187)
Inequivalent atoms, fractional coordinates:
Pr (0.0000, 0.0000, 0.2342) x2
Ni (0.6667, 0.3333, 0.0000) x1
Ag (0.3333, 0.6667, 0.5000) x1
Ge (0.3333, 0.6667, 0.0000) x1
Ge (0.6667, 0.3333, 0.5000) x1

***

Starting from a GGA-PBE-relaxed structure, the powder diffractogram of LuAgPO was calculated for CuKα.

Most intense lines, 10 to 90 degrees two-theta, in order of rising 2θ:
hkl 0 0 2, 2θ 20.38, d = 4.359 Å, rel. 23; hkl 1 0 1, 2θ 25.07, d = 3.552 Å, rel. 28; hkl 1 0 2, 2θ 30.80, d = 2.903 Å, rel. 100; hkl 1 1 1, 2θ 34.18, d = 2.623 Å, rel. 78; hkl 1 0 3, 2θ 38.69, d = 2.327 Å, rel. 52; hkl 2 0 0, 2θ 46.70, d = 1.945 Å, rel. 39; hkl 1 1 4, 2θ 53.67, d = 1.708 Å, rel. 47; hkl 2 1 2, 2θ 56.99, d = 1.616 Å, rel. 41; hkl 2 1 3, 2θ 62.19, d = 1.493 Å, rel. 14; hkl 3 1 1, 2θ 78.53, d = 1.218 Å, rel. 14

Atomic structure:
Unit cell a=3.8901 b=3.8901 c=8.7171 alpha=90.00 beta=90.00 gamma=90.00
Space group P4/nmm (No. 129, origin choice 2)
Inequivalent atoms, fractional coordinates:
Lu (0.2500, 0.2500, 0.1180) x2
Ag (0.2500, 0.7500, 0.5000) x2
P (0.2500, 0.2500, 0.6965) x2
O (0.2500, 0.7500, 0.0000) x2

***

Starting from a GGA-PBE-relaxed structure, the powder diffractogram of Re3Ni2 was calculated for CuKα.

Most intense lines, 10 to 90 degrees two-theta, in order of rising 2θ:
hkl 2 0 0, 2θ 19.38, d = 4.580 Å, rel. 15; hkl 1 0 1, 2θ 20.44, d = 4.345 Å, rel. 40; hkl 4 1 0, 2θ 40.61, d = 2.222 Å, rel. 100; hkl 2 0 2, 2θ 41.57, d = 2.173 Å, rel. 29; hkl 3 3 0, 2θ 41.84, d = 2.159 Å, rel. 37; hkl 2 1 2, 2θ 42.77, d = 2.114 Å, rel. 80; hkl 4 1 1, 2θ 44.73, d = 2.026 Å, rel. 55; hkl 3 3 1, 2θ 45.88, d = 1.978 Å, rel. 36; hkl 2 2 2, 2θ 46.25, d = 1.963 Å, rel. 17; hkl 3 1 2, 2θ 48.46, d = 1.879 Å, rel. 28

Atomic structure:
Unit cell a=9.1597 b=9.1597 c=4.9362 alpha=90.00 beta=90.00 gamma=90.00
Space group P4_2/mnm (No. 136)
Inequivalent atoms, fractional coordinates:
Re (0.0000, 0.0000, 0.0000) x2
Re (0.0680, 0.2701, 0.0000) x8
Re (0.1811, 0.8189, 0.2514) x8
Ni (0.0413, 0.3678, 0.5000) x8
Ni (0.1012, 0.1012, 0.5000) x4

***

Starting from a GGA-PBE-relaxed structure, the powder diffractogram of PmCd2 was calculated for CuKα.

Most intense lines, 10 to 90 degrees two-theta, in order of rising 2θ:
hkl 1 1 -1, 2θ 33.15, d = 2.702 Å, rel. 59; hkl 2 0 1, 2θ 33.28, d = 2.692 Å, rel. 58; hkl 3 1 0, 2θ 35.57, d = 2.524 Å, rel. 100; hkl 4 0 -1, 2θ 49.37, d = 1.846 Å, rel. 19; hkl 2 2 1, 2θ 49.55, d = 1.840 Å, rel. 19; hkl 4 2 -1, 2θ 62.25, d = 1.491 Å, rel. 12; hkl 1 3 -1, 2θ 62.41, d = 1.488 Å, rel. 12; hkl 5 1 1, 2θ 62.52, d = 1.486 Å, rel. 12; hkl 6 0 0, 2θ 63.89, d = 1.457 Å, rel. 17; hkl 6 2 0, 2θ 75.31, d = 1.262 Å, rel. 11

Atomic structure:
Unit cell a=8.7451 b=5.0461 c=3.4280 alpha=90.00 beta=90.33 gamma=90.00
Space group C2/m (No. 12)
Inequivalent atoms, fractional coordinates:
Pm (0.0000, 0.0000, 0.0000) x2
Cd (0.1666, 0.5000, 0.5006) x4

***

Starting from a GGA-PBE-relaxed structure, the powder diffractogram of SrYSi4Os2 was calculated for CuKα.

Most intense lines, 10 to 90 degrees two-theta, in order of rising 2θ:
hkl 0 0 1, 2θ 10.89, d = 8.128 Å, rel. 100; hkl 1 0 1, 2θ 24.77, d = 3.594 Å, rel. 19; hkl 1 1 0, 2θ 29.76, d = 3.002 Å, rel. 34; hkl 1 1 -1, 2θ 30.27, d = 2.953 Å, rel. 72; hkl 0 1 2, 2θ 31.07, d = 2.879 Å, rel. 57; hkl 1 0 2, 2θ 32.81, d = 2.729 Å, rel. 27; hkl 1 0 -3, 2θ 35.08, d = 2.558 Å, rel. 37; hkl 2 0 -1, 2θ 39.93, d = 2.258 Å, rel. 57; hkl 0 2 0, 2θ 44.45, d = 2.038 Å, rel. 33; hkl 1 2 -3, 2θ 57.83, d = 1.594 Å, rel. 18

Atomic structure:
Unit cell a=4.5313 b=4.0779 c=8.3055 alpha=90.00 beta=101.87 gamma=90.00
Space group Pm (No. 6)
Inequivalent atoms, fractional coordinates:
Sr (0.0000, 0.0000, 0.0000) x1
Y (0.8309, 0.5000, 0.5971) x1
Si (0.0883, 0.5000, 0.2992) x1
Si (0.3809, 0.0000, 0.7111) x1
Si (0.4558, 0.5000, 0.8941) x1
Si (0.7558, 0.0000, 0.3149) x1
Os (0.3024, 0.0000, 0.4223) x1
Os (0.5431, 0.5000, 0.1939) x1